[1]
Starting from a cell relaxed with GGA-PBE, the powder diffractogram of Mg2Al3WS8 was calculated for CuKα.
Lines closer than 0.1° are merged.

Principal peaks in the range 5 to 70 degrees two-theta, in order of rising 2θ:
d (Å), intensity
5.921, 100
5.151, 40
3.617, 34
3.134, 28
3.103, 59
2.576, 67
1.834, 33
1.809, 32

Structure:
abc: 7.338 7.338 7.338
angles: 59.07 59.07 59.07
Sites, in units of the cell vectors:
Mg (0.126, 0.126, 0.126)
Mg (0.874, 0.874, 0.874)
Al (0.000, 0.500, 0.500)
Al (0.500, 0.000, 0.500)
Al (0.500, 0.500, 0.000)
W (0.500, 0.500, 0.500)
S (0.260, 0.260, 0.713)
S (0.260, 0.713, 0.260)
S (0.262, 0.262, 0.262)
S (0.287, 0.740, 0.740)
S (0.713, 0.260, 0.260)
S (0.738, 0.738, 0.738)
S (0.740, 0.287, 0.740)
S (0.740, 0.740, 0.287)

[2]
Starting from a cell relaxed with GGA-PBE, the powder diffractogram of Sr was calculated for CuKα.
Lines closer than 0.1° are merged.

Principal peaks in the range 5 to 70 degrees two-theta, in order of rising 2θ:
d (Å), intensity
4.036, 23
3.571, 30
3.221, 100
2.674, 16
1.987, 25
1.888, 25
1.679, 13
1.512, 13

Structure:
abc: 6.732 6.732 6.732
angles: 106.34 106.34 115.93
Sites, in units of the cell vectors:
Sr (0.170, 0.670, 0.840)
Sr (0.330, 0.170, 0.500)
Sr (0.670, 0.830, 0.500)
Sr (0.830, 0.330, 0.160)